Diffraction record for Rb2TlHg4Au2. The X-ray diffraction stick pattern is simulated, not measured: it uses a cell relaxed with PBE and copper Kα.

Cell and atoms:
a = 6.469 Å, b = 6.884 Å, c = 6.981 Å
α = 68.02°, β = 81.23°, γ = 86.09°
Space group P-1 (No. 2)
Symmetry-distinct sites (fractional):
Rb1 0.195 0.431 0.214
Tl1 0.500 0.000 0.000
Hg1 0.048 0.060 0.766
Hg2 0.328 0.842 0.510
Au1 0.349 0.395 0.699

Main lines, most intense first (10° ≤ 2θ ≤ 80°):
31.5°, I 100, (-1 1 2)
30.2°, I 81, (2 1 1)
13.9°, I 63, (0 1 0)
29.4°, I 51, (1 0 2)
39.1°, I 48, (1 2 -1)
31.5°, I 45, (2 -1 0)
37.0°, I 44, (1 -1 2)
31.2°, I 42, (1 2 0)
40.2°, I 34, (2 -2 0)
15.6°, I 34, (0 1 1)